1.
The following is a calculated PXRD pattern of Tb2Pm3Dy6. It was derived from a cell relaxed with GGA-PBE, using Cu Kα, 1.54184 Å.
Lines closer than 0.1° are merged.

Largest 10 diffraction maxima, in order of rising 2θ, 10 to 90 degrees two-theta:
- 30.82 deg, intensity 38
- 30.88 deg, intensity 18
- 31.37 deg, intensity 40
- 32.09 deg, intensity 100
- 34.15 deg, intensity 14
- 44.52 deg, intensity 14
- 53.09 deg, intensity 12
- 56.30 deg, intensity 22
- 62.09 deg, intensity 16
- 62.98 deg, intensity 15

Atomic structure:
Unit cell a=6.685 b=6.685 c=10.502 alpha=90.02 beta=90.02 gamma=129.49
Atoms (fractional coordinates):
1 Tb 0.133 0.867 0.000
2 Tb 0.867 0.133 0.000
3 Pm 0.206 0.794 0.500
4 Pm 0.500 0.500 0.500
5 Pm 0.794 0.206 0.500
6 Dy 0.001 0.001 0.289
7 Dy 0.348 0.650 0.801
8 Dy 0.350 0.652 0.199
9 Dy 0.650 0.348 0.801
10 Dy 0.652 0.350 0.199
11 Dy 0.999 0.999 0.711



2.
The following is a calculated PXRD pattern of IO2F4. It was derived from a cell relaxed with GGA-PBE, using Cu Kα, 1.54184 Å.
Lines closer than 0.1° are merged.

Largest 10 diffraction maxima, in order of rising 2θ, 10 to 90 degrees two-theta:
- 11.33 deg, intensity 100
- 20.12 deg, intensity 36
- 20.87 deg, intensity 12
- 22.11 deg, intensity 12
- 22.78 deg, intensity 20
- 24.57 deg, intensity 19
- 25.25 deg, intensity 30
- 27.03 deg, intensity 18
- 29.01 deg, intensity 9
- 33.11 deg, intensity 23

Atomic structure:
Unit cell a=4.034 b=4.534 c=8.006 alpha=77.35 beta=87.20 gamma=85.59
Atoms (fractional coordinates):
1 I 0.000 0.000 0.000
2 O 0.393 0.104 0.492
3 O 0.607 0.896 0.508
4 F 0.076 0.726 0.838
5 F 0.386 0.789 0.137
6 F 0.614 0.211 0.863
7 F 0.924 0.274 0.162



3.
The following is a calculated PXRD pattern of LaNiOs4. It was derived from a cell relaxed with GGA-PBE, using Cu Kα, 1.54184 Å.
Lines closer than 0.1° are merged.

Largest 10 diffraction maxima, in order of rising 2θ, 10 to 90 degrees two-theta:
- 20.48 deg, intensity 36
- 33.74 deg, intensity 12
- 39.79 deg, intensity 100
- 41.64 deg, intensity 62
- 48.47 deg, intensity 16
- 53.14 deg, intensity 10
- 64.44 deg, intensity 33
- 70.97 deg, intensity 31
- 84.58 deg, intensity 12
- 85.79 deg, intensity 24

Atomic structure:
Unit cell a=5.312 b=5.312 c=5.312 alpha=60.00 beta=60.00 gamma=60.00
Atoms (fractional coordinates):
1 La 0.000 0.000 0.000
2 Ni 0.750 0.750 0.750
3 Os 0.376 0.376 0.376
4 Os 0.376 0.376 0.872
5 Os 0.376 0.872 0.376
6 Os 0.872 0.376 0.376



4.
The following is a calculated PXRD pattern of ZrScBi2. It was derived from a cell relaxed with GGA-PBE, using Cu Kα, 1.54184 Å.
Lines closer than 0.1° are merged.

Largest 10 diffraction maxima, in order of rising 2θ, 10 to 90 degrees two-theta:
- 22.96 deg, intensity 35
- 32.69 deg, intensity 62
- 35.38 deg, intensity 100
- 42.60 deg, intensity 15
- 46.91 deg, intensity 23
- 54.70 deg, intensity 15
- 60.09 deg, intensity 50
- 65.18 deg, intensity 17
- 74.86 deg, intensity 15
- 79.52 deg, intensity 16

Atomic structure:
Unit cell a=5.479 b=5.479 c=3.357 alpha=90.00 beta=90.00 gamma=90.00
Atoms (fractional coordinates):
1 Zr 0.000 0.000 0.000
2 Sc 0.500 0.500 0.000
3 Bi 0.000 0.500 0.500
4 Bi 0.500 0.000 0.500



5.
The following is a calculated PXRD pattern of SrTlPt2. It was derived from a cell relaxed with GGA-PBE, using Cu Kα, 1.54184 Å.
Lines closer than 0.1° are merged.

Largest 10 diffraction maxima, in order of rising 2θ, 10 to 90 degrees two-theta:
- 18.17 deg, intensity 100
- 26.69 deg, intensity 63
- 36.82 deg, intensity 29
- 38.11 deg, intensity 16
- 38.32 deg, intensity 24
- 38.53 deg, intensity 26
- 40.57 deg, intensity 23
- 42.52 deg, intensity 30
- 46.96 deg, intensity 23
- 54.99 deg, intensity 28

Atomic structure:
Unit cell a=5.057 b=5.057 c=18.691 alpha=90.00 beta=90.00 gamma=90.00
Atoms (fractional coordinates):
1 Sr 0.000 0.000 0.000
2 Sr 0.000 0.500 0.250
3 Sr 0.500 0.000 0.750
4 Sr 0.500 0.500 0.500
5 Tl 0.000 0.000 0.500
6 Tl 0.000 0.500 0.750
7 Tl 0.500 0.000 0.250
8 Tl 0.500 0.500 0.000
9 Pt 0.059 0.250 0.625
10 Pt 0.250 0.559 0.875
11 Pt 0.250 0.941 0.375
12 Pt 0.441 0.250 0.125
13 Pt 0.559 0.750 0.125
14 Pt 0.750 0.059 0.375
15 Pt 0.750 0.441 0.875
16 Pt 0.941 0.750 0.625



6.
The following is a calculated PXRD pattern of TbNi3H8Pd2. It was derived from a cell relaxed with GGA-PBE, using Cu Kα, 1.54184 Å.
Lines closer than 0.1° are merged.

Largest 10 diffraction maxima, in order of rising 2θ, 10 to 90 degrees two-theta:
- 32.07 deg, intensity 24
- 33.34 deg, intensity 43
- 37.59 deg, intensity 33
- 38.71 deg, intensity 100
- 39.25 deg, intensity 21
- 40.88 deg, intensity 20
- 62.41 deg, intensity 15
- 63.18 deg, intensity 20
- 67.08 deg, intensity 17
- 70.03 deg, intensity 16

Atomic structure:
Unit cell a=5.590 b=5.590 c=5.590 alpha=57.47 beta=57.47 gamma=57.47
Atoms (fractional coordinates):
1 Tb 0.000 0.000 0.000
2 Ni 0.136 0.628 0.628
3 Ni 0.628 0.136 0.628
4 Ni 0.628 0.628 0.136
5 H 0.375 0.375 0.840
6 H 0.375 0.840 0.375
7 H 0.397 0.397 0.397
8 H 0.478 0.866 0.866
9 H 0.840 0.375 0.375
10 H 0.846 0.846 0.846
11 H 0.866 0.478 0.866
12 H 0.866 0.866 0.478
13 Pd 0.263 0.263 0.263
14 Pd 0.627 0.627 0.627



7.
The following is a calculated PXRD pattern of Na8B11C5. It was derived from a cell relaxed with GGA-PBE, using Cu Kα, 1.54184 Å.
Lines closer than 0.1° are merged.

Largest 10 diffraction maxima, in order of rising 2θ, 10 to 90 degrees two-theta:
- 35.59 deg, intensity 10
- 36.03 deg, intensity 18
- 41.58 deg, intensity 50
- 41.96 deg, intensity 100
- 42.30 deg, intensity 38
- 56.75 deg, intensity 10
- 64.21 deg, intensity 18
- 77.12 deg, intensity 12
- 79.94 deg, intensity 17
- 80.22 deg, intensity 11

Atomic structure:
Unit cell a=2.868 b=17.092 c=5.045 alpha=90.00 beta=90.00 gamma=90.00
Atoms (fractional coordinates):
1 Na 0.000 0.126 0.000
2 Na 0.000 0.373 0.999
3 Na 0.000 0.627 0.999
4 Na 0.000 0.874 0.000
5 Na 0.500 0.127 0.498
6 Na 0.500 0.373 0.499
7 Na 0.500 0.627 0.499
8 Na 0.500 0.873 0.498
9 B 0.000 0.000 0.637
10 B 0.000 0.249 0.331
11 B 0.000 0.500 0.333
12 B 0.000 0.500 0.664
13 B 0.000 0.751 0.331
14 B 0.500 0.000 0.177
15 B 0.500 0.000 0.845
16 B 0.500 0.249 0.831
17 B 0.500 0.500 0.164
18 B 0.500 0.500 0.833
19 B 0.500 0.751 0.831
20 C 0.000 0.000 0.333
21 C 0.000 0.249 0.665
22 C 0.000 0.751 0.665
23 C 0.500 0.249 0.165
24 C 0.500 0.751 0.165



8.
The following is a calculated PXRD pattern of La2Ce3HoTe6. It was derived from a cell relaxed with GGA-PBE, using Cu Kα, 1.54184 Å.
Lines closer than 0.1° are merged.

Largest 10 diffraction maxima, in order of rising 2θ, 10 to 90 degrees two-theta:
- 28.06 deg, intensity 100
- 39.94 deg, intensity 39
- 40.27 deg, intensity 37
- 49.24 deg, intensity 7
- 49.80 deg, intensity 20
- 58.01 deg, intensity 13
- 65.40 deg, intensity 12
- 65.89 deg, intensity 17
- 72.31 deg, intensity 7
- 72.94 deg, intensity 8

Atomic structure:
Unit cell a=7.760 b=7.760 c=7.843 alpha=99.51 beta=99.51 gamma=120.07
Atoms (fractional coordinates):
1 La 0.165 0.835 0.000
2 La 0.835 0.165 0.000
3 Ce 0.000 0.000 0.500
4 Ce 0.327 0.673 0.500
5 Ce 0.673 0.327 0.500
6 Ho 0.500 0.500 0.000
7 Te 0.096 0.419 0.753
8 Te 0.263 0.263 0.254
9 Te 0.419 0.096 0.753
10 Te 0.581 0.904 0.247
11 Te 0.737 0.737 0.746
12 Te 0.904 0.581 0.247